Calculated powder diffractogram
Compound: PbS
Radiation: Cu Kα X-rays
Structure: DFT lattice parameters and positions (GGA-PBE)

Peak list (10 most intense, 10 to 80 degrees two-theta, low angle first)
- 25.5 deg, I 100, hkl 2 0 1
- 29.4 deg, I 32, hkl 0 0 2
- 29.5 deg, I 67, hkl 2 1 0
- 42.2 deg, I 60, hkl 4 0 0
- 42.3 deg, I 13, hkl 0 2 0
- 49.8 deg, I 18, hkl 2 0 3
- 50.0 deg, I 37, hkl 4 1 1
- 52.3 deg, I 25, hkl 0 2 2
- 67.3 deg, I 16, hkl 4 1 3
- 69.4 deg, I 16, hkl 4 2 2

Structural model:
abc: 8.562 4.273 6.077
angles: 90.00 90.00 90.00
Element x y z (fractional)
Pb 0.123 0.250 0.236
Pb 0.377 0.750 0.736
Pb 0.623 0.250 0.264
Pb 0.877 0.750 0.764
S 0.152 0.250 0.705
S 0.348 0.750 0.205
S 0.652 0.250 0.795
S 0.848 0.750 0.295